(1)
Calculated powder diffractogram of TlSb2Pd8 for Cu Ka, from DFT lattice parameters and positions (PBE).
Intensities are scaled so that the largest is 100.

Structural model:
```
TlSb2Pd8
1.0
4.7721 0.0000 0.0000
-0.4502 5.9422 0.0000
-2.1541 -2.9598 6.8392
Tl Sb Pd
1 2 8
direct
0.0000 0.0000 0.0000 Tl
0.3143 0.3704 0.6810 Sb
0.6333 0.6894 0.3181 Sb
0.1447 0.5697 0.9999 Pd
0.1560 0.4400 0.3447 Pd
0.1665 0.9406 0.3845 Pd
0.3538 0.8510 0.7451 Pd
0.6093 0.1068 0.2553 Pd
0.6341 0.3347 0.9997 Pd
0.7819 0.5564 0.6154 Pd
0.8109 0.0946 0.6546 Pd
```

Top 10 peaks for 15 to 90 degrees two-theta, by angle:
- 2θ 32.87, 2.725 Å, I = 19
- 2θ 36.31, 2.474 Å, I = 18
- 2θ 37.46, 2.401 Å, I = 12
- 2θ 37.81, 2.379 Å, I = 42
- 2θ 37.94, 2.372 Å, I = 30
- 2θ 39.53, 2.280 Å, I = 36
- 2θ 39.79, 2.265 Å, I = 100
- 2θ 42.01, 2.150 Å, I = 54
- 2θ 46.30, 1.961 Å, I = 12
- 2θ 68.05, 1.378 Å, I = 12



(2)
Calculated powder diffractogram of Mg7Tl2Ga for Cu Ka, from DFT lattice parameters and positions (PBE).
Intensities are scaled so that the largest is 100.

Structural model:
```
Mg7Tl2Ga
1.0
4.8426 0.0000 0.0000
-2.4213 4.1938 0.0000
0.0000 0.0000 11.8028
Mg Tl Ga
7 2 1
direct
0.0000 0.0000 0.0000 Mg
0.0000 0.0000 0.2508 Mg
0.0000 0.0000 0.5165 Mg
0.3333 0.6667 0.1409 Mg
0.3333 0.6667 0.6798 Mg
0.6667 0.3333 0.3448 Mg
0.6667 0.3333 0.8502 Mg
0.0000 0.0000 0.7589 Tl
0.3333 0.6667 0.4178 Tl
0.6667 0.3333 0.0974 Ga
```

Top 10 peaks for 15 to 90 degrees two-theta, by angle:
- 2θ 22.50, 3.952 Å, I = 100
- 2θ 22.60, 3.934 Å, I = 32
- 2θ 26.07, 3.419 Å, I = 45
- 2θ 37.13, 2.421 Å, I = 57
- 2θ 37.26, 2.413 Å, I = 59
- 2θ 43.89, 2.063 Å, I = 52
- 2θ 44.02, 2.057 Å, I = 16
- 2θ 53.62, 1.709 Å, I = 21
- 2θ 66.99, 1.397 Å, I = 31
- 2θ 71.68, 1.317 Å, I = 16



(3)
Calculated powder diffractogram of Pr4Y8Pu for Cu Ka, from DFT lattice parameters and positions (PBE).
Intensities are scaled so that the largest is 100.

Structural model:
```
Pr4Y8Pu
1.0
5.5561 3.2078 4.5166
-5.5561 3.2078 4.5166
0.0000 -6.4157 4.5166
Pr Y Pu
4 8 1
direct
0.0000 0.0000 0.0000 Pr
0.0000 0.5000 0.5000 Pr
0.5000 0.0000 0.5000 Pr
0.5000 0.5000 0.0000 Pr
0.2434 0.2434 0.7550 Y
0.2434 0.7550 0.2434 Y
0.2440 0.2440 0.2440 Y
0.2450 0.7566 0.7566 Y
0.7550 0.2434 0.2434 Y
0.7560 0.7560 0.7560 Y
0.7566 0.2450 0.7566 Y
0.7566 0.7566 0.2450 Y
0.5000 0.5000 0.5000 Pu
```

Top 10 peaks for 15 to 90 degrees two-theta, by angle:
- 2θ 15.97, 5.548 Å, I = 13
- 2θ 19.60, 4.530 Å, I = 11
- 2θ 25.38, 3.509 Å, I = 11
- 2θ 32.27, 2.774 Å, I = 100
- 2θ 46.29, 1.961 Å, I = 18
- 2θ 57.50, 1.603 Å, I = 28
- 2θ 57.70, 1.598 Å, I = 9
- 2θ 67.42, 1.389 Å, I = 6
- 2θ 76.76, 1.242 Å, I = 8
- 2θ 76.92, 1.239 Å, I = 8



(4)
Calculated powder diffractogram of Sm4Sc5In for Cu Ka, from DFT lattice parameters and positions (PBE).
Intensities are scaled so that the largest is 100.

Structural model:
```
Sm4Sc5In
1.0
-5.1274 5.1274 2.7683
5.1274 -5.1274 2.7683
5.1274 5.1274 -2.7683
Sm Sc In
4 5 1
direct
0.0000 0.3111 0.3111 Sm
0.0000 0.6889 0.6889 Sm
0.3111 0.0000 0.3111 Sm
0.6889 0.0000 0.6889 Sm
0.2296 0.2296 0.0000 Sc
0.3211 0.3211 0.6333 Sc
0.3211 0.6878 0.0000 Sc
0.6878 0.3211 0.0000 Sc
0.6878 0.6878 0.3667 Sc
0.7405 0.7405 0.0000 In
```

Top 10 peaks for 15 to 90 degrees two-theta, by angle:
- 2θ 25.22, 3.532 Å, I = 49
- 2θ 27.51, 3.243 Å, I = 15
- 2θ 30.74, 2.909 Å, I = 100
- 2θ 32.34, 2.768 Å, I = 15
- 2θ 34.69, 2.586 Å, I = 16
- 2θ 37.20, 2.417 Å, I = 41
- 2θ 41.02, 2.200 Å, I = 21
- 2θ 56.56, 1.627 Å, I = 15
- 2θ 56.68, 1.624 Å, I = 18
- 2θ 63.09, 1.474 Å, I = 17



(5)
Calculated powder diffractogram of SrMg2Rh2 for Cu Ka, from DFT lattice parameters and positions (PBE).
Intensities are scaled so that the largest is 100.

Structural model:
```
SrMg2Rh2
1.0
-2.1881 2.1881 5.5973
2.1881 -2.1881 5.5973
2.1881 2.1881 -5.5973
Sr Mg Rh
1 2 2
direct
0.0000 0.0000 0.0000 Sr
0.2500 0.7500 0.5000 Mg
0.7500 0.2500 0.5000 Mg
0.3866 0.3866 0.0000 Rh
0.6134 0.6134 0.0000 Rh
```

Top 10 peaks for 15 to 90 degrees two-theta, by angle:
- 2θ 21.81, 4.076 Å, I = 33
- 2θ 28.85, 3.094 Å, I = 95
- 2θ 31.51, 2.839 Å, I = 100
- 2θ 33.08, 2.708 Å, I = 63
- 2θ 41.26, 2.188 Å, I = 72
- 2θ 43.61, 2.076 Å, I = 27
- 2θ 45.51, 1.993 Å, I = 69
- 2θ 52.82, 1.733 Å, I = 45
- 2θ 59.77, 1.547 Å, I = 23
- 2θ 63.09, 1.473 Å, I = 51



(6)
Calculated powder diffractogram of ErZrSc4 for Cu Ka, from DFT lattice parameters and positions (PBE).
Intensities are scaled so that the largest is 100.

Structural model:
```
ErZrSc4
1.0
5.1880 0.0000 0.0000
0.0000 1.6635 8.7293
0.0000 -1.6635 8.7293
Er Zr Sc
1 1 4
direct
0.0000 0.0000 0.0000 Er
0.5000 0.7778 0.7778 Zr
0.0000 0.3290 0.3290 Sc
0.0000 0.6697 0.6697 Sc
0.5000 0.1158 0.1158 Sc
0.5000 0.4367 0.4367 Sc
```

Top 10 peaks for 15 to 90 degrees two-theta, by angle:
- 2θ 19.91, 4.460 Å, I = 42
- 2θ 20.35, 4.365 Å, I = 17
- 2θ 30.96, 2.888 Å, I = 27
- 2θ 34.58, 2.594 Å, I = 36
- 2θ 35.37, 2.538 Å, I = 51
- 2θ 35.58, 2.524 Å, I = 100
- 2θ 54.78, 1.676 Å, I = 18
- 2θ 62.61, 1.484 Å, I = 18
- 2θ 66.42, 1.408 Å, I = 19
- 2θ 66.80, 1.401 Å, I = 17



(7)
Calculated powder diffractogram of Nd7Ho3Er2 for Cu Ka, from DFT lattice parameters and positions (PBE).
Intensities are scaled so that the largest is 100.

Structural model:
```
Nd7Ho3Er2
1.0
6.4618 0.0000 0.0000
0.0000 3.5620 0.0000
-1.8013 0.0000 17.4865
Nd Ho Er
7 3 2
direct
0.0000 0.0000 0.0000 Nd
0.2245 0.5000 0.1723 Nd
0.2576 0.5000 0.4936 Nd
0.2761 0.0000 0.8322 Nd
0.7239 0.0000 0.1678 Nd
0.7424 0.5000 0.5064 Nd
0.7755 0.5000 0.8277 Nd
0.4559 0.0000 0.3405 Ho
0.5000 0.5000 0.0000 Ho
0.5441 0.0000 0.6595 Ho
0.0596 0.5000 0.6700 Er
0.9404 0.5000 0.3300 Er
```

Top 10 peaks for 15 to 90 degrees two-theta, by angle:
- 2θ 29.37, 3.041 Å, I = 57
- 2θ 30.35, 2.945 Å, I = 81
- 2θ 30.67, 2.915 Å, I = 100
- 2θ 30.94, 2.890 Å, I = 97
- 2θ 33.19, 2.700 Å, I = 69
- 2θ 34.51, 2.599 Å, I = 88
- 2θ 49.46, 1.843 Å, I = 39
- 2θ 51.30, 1.781 Å, I = 25
- 2θ 59.83, 1.546 Å, I = 27
- 2θ 60.96, 1.520 Å, I = 33



(8)
Calculated powder diffractogram of AcLa4Dy2Ho for Cu Ka, from DFT lattice parameters and positions (PBE).
Intensities are scaled so that the largest is 100.

Structural model:
```
AcLa4Dy2Ho
1.0
5.8052 -2.6273 0.0000
5.8052 2.6273 0.0000
-4.7867 0.0000 9.3868
Ac La Dy Ho
1 4 2 1
direct
0.0000 0.0000 0.0000 Ac
0.2462 0.2462 0.8687 La
0.2519 0.2519 0.3777 La
0.7481 0.7481 0.6223 La
0.7538 0.7538 0.1313 La
0.4995 0.4995 0.2562 Dy
0.5005 0.5005 0.7438 Dy
0.0000 0.0000 0.5000 Ho
```

Top 10 peaks for 15 to 90 degrees two-theta, by angle:
- 2θ 29.58, 3.020 Å, I = 100
- 2θ 34.08, 2.631 Å, I = 34
- 2θ 34.69, 2.586 Å, I = 16
- 2θ 48.97, 1.860 Å, I = 12
- 2θ 49.42, 1.844 Å, I = 24
- 2θ 58.19, 1.585 Å, I = 15
- 2θ 58.31, 1.582 Å, I = 15
- 2θ 59.06, 1.564 Å, I = 14
- 2θ 61.40, 1.510 Å, I = 13
- 2θ 79.47, 1.206 Å, I = 6



(9)
Calculated powder diffractogram of Cs6Rb9Au for Cu Ka, from DFT lattice parameters and positions (PBE).
Intensities are scaled so that the largest is 100.

Structural model:
```
Cs6Rb9Au
1.0
-5.7463 5.7463 10.9991
5.7463 -5.7463 10.9991
5.7463 5.7463 -10.9991
Cs Rb Au
6 9 1
direct
0.1044 0.7034 0.8077 Cs
0.1642 0.1642 0.0000 Cs
0.2966 0.1044 0.4010 Cs
0.7034 0.8956 0.5990 Cs
0.8358 0.8358 0.0000 Cs
0.8956 0.2966 0.1923 Cs
0.0322 0.2390 0.6112 Rb
0.2390 0.6277 0.2068 Rb
0.3723 0.5790 0.6112 Rb
0.4210 0.0322 0.7932 Rb
0.5000 0.5000 0.0000 Rb
0.5790 0.9678 0.2068 Rb
0.6277 0.4210 0.3888 Rb
0.7610 0.3723 0.7932 Rb
0.9678 0.7610 0.3888 Rb
0.0000 0.0000 0.0000 Au
```

Top 10 peaks for 15 to 90 degrees two-theta, by angle:
- 2θ 21.11, 4.209 Å, I = 100
- 2θ 24.28, 3.666 Å, I = 29
- 2θ 24.49, 3.634 Å, I = 58
- 2θ 34.76, 2.581 Å, I = 48
- 2θ 34.91, 2.570 Å, I = 23
- 2θ 40.88, 2.207 Å, I = 18
- 2θ 41.16, 2.193 Å, I = 34
- 2θ 42.98, 2.104 Å, I = 25
- 2θ 54.83, 1.674 Å, I = 15
- 2θ 62.51, 1.486 Å, I = 16



(10)
Calculated powder diffractogram of Li2NiPt5 for Cu Ka, from DFT lattice parameters and positions (PBE).
Intensities are scaled so that the largest is 100.

Structural model:
```
Li2NiPt5
1.0
-3.2277 3.2277 2.7414
3.2277 -3.2277 2.7414
3.2277 3.2277 -2.7414
Li Ni Pt
2 1 5
direct
0.0000 0.5000 0.5000 Li
0.5000 0.0000 0.5000 Li
0.4995 0.4995 0.0000 Ni
0.9996 0.9996 0.4995 Pt
0.9996 0.5001 0.0000 Pt
0.0005 0.0005 0.0000 Pt
0.5001 0.9996 0.0000 Pt
0.5001 0.5001 0.5005 Pt
```

Top 10 peaks for 15 to 90 degrees two-theta, by angle:
- 2θ 19.45, 4.565 Å, I = 22
- 2θ 21.26, 4.179 Å, I = 9
- 2θ 27.64, 3.228 Å, I = 38
- 2θ 32.67, 2.741 Å, I = 13
- 2θ 39.48, 2.282 Å, I = 65
- 2θ 43.30, 2.089 Å, I = 100
- 2θ 52.15, 1.754 Å, I = 14
- 2θ 57.07, 1.614 Å, I = 22
- 2θ 74.26, 1.277 Å, I = 41
- 2θ 82.00, 1.175 Å, I = 16



(11)
Calculated powder diffractogram of La2Ni12SnB3 for Cu Ka, from DFT lattice parameters and positions (PBE).
Intensities are scaled so that the largest is 100.

Structural model:
```
La2Ni12SnB3
1.0
3.5068 2.0246 5.9033
-3.5068 2.0246 5.9033
0.0000 -4.0493 5.9033
La Ni Sn B
2 12 1 3
direct
0.0967 0.0967 0.0967 La
0.9033 0.9033 0.9033 La
0.0270 0.6452 0.6452 Ni
0.2291 0.2291 0.6175 Ni
0.2291 0.6175 0.2291 Ni
0.3548 0.3548 0.9730 Ni
0.3548 0.9730 0.3548 Ni
0.3825 0.7709 0.7709 Ni
0.6175 0.2291 0.2291 Ni
0.6452 0.0270 0.6452 Ni
0.6452 0.6452 0.0270 Ni
0.7709 0.3825 0.7709 Ni
0.7709 0.7709 0.3825 Ni
0.9730 0.3548 0.3548 Ni
0.5000 0.5000 0.5000 Sn
0.0000 0.5000 0.5000 B
0.5000 0.0000 0.5000 B
0.5000 0.5000 0.0000 B
```

Top 10 peaks for 15 to 90 degrees two-theta, by angle:
- 2θ 25.40, 3.507 Å, I = 21
- 2θ 29.63, 3.015 Å, I = 25
- 2θ 38.55, 2.335 Å, I = 33
- 2θ 39.07, 2.306 Å, I = 100
- 2θ 40.60, 2.222 Å, I = 66
- 2θ 47.47, 1.915 Å, I = 30
- 2θ 52.17, 1.753 Å, I = 25
- 2θ 60.52, 1.530 Å, I = 26
- 2θ 60.90, 1.521 Å, I = 18
- 2θ 78.34, 1.221 Å, I = 26



(12)
Calculated powder diffractogram of Li2Ca4Cl9 for Cu Ka, from DFT lattice parameters and positions (PBE).
Intensities are scaled so that the largest is 100.

Structural model:
```
Li2Ca4Cl9
1.0
5.9408 -3.4290 0.0000
5.9408 3.4290 0.0000
-0.0031 0.0000 18.6389
Li Ca Cl
4 8 18
direct
0.9997 0.0006 0.6587 Li
0.0003 0.9994 0.3413 Li
0.0006 0.9997 0.1587 Li
0.9994 0.0003 0.8413 Li
0.3329 0.3339 0.6812 Ca
0.3331 0.3337 0.9868 Ca
0.3339 0.3329 0.1812 Ca
0.3337 0.3331 0.4868 Ca
0.6663 0.6669 0.5132 Ca
0.6661 0.6671 0.8188 Ca
0.6669 0.6663 0.0132 Ca
0.6671 0.6661 0.3188 Ca
0.0009 0.7033 0.2501 Cl
0.0263 0.3185 0.0852 Cl
0.0262 0.6554 0.5850 Cl
0.2954 0.7046 0.7500 Cl
0.2967 0.9991 0.2499 Cl
0.3185 0.0263 0.5852 Cl
0.3186 0.6550 0.0852 Cl
0.3450 0.6814 0.4148 Cl
0.3446 0.9738 0.9150 Cl
0.6554 0.0262 0.0850 Cl
0.6550 0.3186 0.5852 Cl
0.6814 0.3450 0.9148 Cl
0.6815 0.9737 0.4148 Cl
0.7033 0.0009 0.7501 Cl
0.7046 0.2954 0.2500 Cl
0.9738 0.3446 0.4150 Cl
0.9737 0.6815 0.9148 Cl
0.9991 0.2967 0.7499 Cl
```

Top 10 peaks for 15 to 90 degrees two-theta, by angle:
- 2θ 17.71, 5.009 Å, I = 24
- 2θ 24.28, 3.666 Å, I = 17
- 2θ 29.76, 3.002 Å, I = 100
- 2θ 35.85, 2.505 Å, I = 15
- 2θ 39.13, 2.302 Å, I = 58
- 2θ 44.81, 2.023 Å, I = 11
- 2θ 45.83, 1.980 Å, I = 40
- 2θ 51.55, 1.773 Å, I = 17
- 2θ 55.60, 1.653 Å, I = 11
- 2θ 61.80, 1.501 Å, I = 12



(13)
Calculated powder diffractogram of EuLuInAu for Cu Ka, from DFT lattice parameters and positions (PBE).
Intensities are scaled so that the largest is 100.

Structural model:
```
EuLuInAu
1.0
0.0000 3.7237 3.7237
3.7237 0.0000 3.7237
3.7237 3.7237 0.0000
Eu Lu In Au
1 1 1 1
direct
0.0000 0.0000 0.0000 Eu
0.5000 0.5000 0.5000 Lu
0.7500 0.7500 0.7500 In
0.2500 0.2500 0.2500 Au
```

Top 10 peaks for 15 to 90 degrees two-theta, by angle:
- 2θ 20.66, 4.300 Å, I = 4
- 2θ 34.05, 2.633 Å, I = 100
- 2θ 40.16, 2.245 Å, I = 2
- 2θ 48.92, 1.862 Å, I = 18
- 2θ 53.64, 1.709 Å, I = 1
- 2θ 60.94, 1.520 Å, I = 37
- 2θ 65.08, 1.433 Å, I = 1
- 2θ 71.69, 1.317 Å, I = 12
- 2θ 75.53, 1.259 Å, I = 1
- 2θ 81.79, 1.178 Å, I = 16